No. 1
# B4C
Simulated PXRD pattern, CuKα. Input: a cell relaxed with GGA-PBE.
Peak positions follow from Bragg's law for the DFT cell and can differ from measured ones.

Peak list (6 most intense, 2θ = 15–90°, low angle first)
2theta  intensity
23.40  781
34.89  431
37.53  1000
63.33  167
64.52  142
66.22  204

Atomic structure:
Lattice parameters (Å, degrees): 5.6459 5.6459 12.0946 90.00 90.00 120.00
Space group R-3m (No. 166, hexagonal axes)
Unique sites:
B: 0.0014 0.5007 0.3072
B: 0.1078 0.2156 0.8860
C: 0.0000 0.0000 0.3898
C: 0.0000 0.0000 0.5000

***

No. 2
# Hf2Be17
Simulated PXRD pattern, CuKα. Input: a cell relaxed with GGA-PBE.
Peak positions follow from Bragg's law for the DFT cell and can differ from measured ones.

Peak list (6 most intense, 2θ = 15–90°, low angle first)
2theta  intensity
18.35  662
23.81  1000
24.48  317
34.42  910
41.88  301
49.11  423

Atomic structure:
Lattice parameters (Å, degrees): 7.4729 7.4729 7.2717 90.00 90.00 120.00
Space group P6_3/mmc (No. 194)
Unique sites:
Hf: 0.0000 0.0000 0.2500
Hf: 0.3333 0.6667 0.2500
Be: 0.0000 0.5000 0.0000
Be: 0.0464 0.3781 0.7500
Be: 0.1648 0.3296 0.0130
Be: 0.3333 0.6667 0.6060